This entry pairs a crystal structure of TbSm4Er4 with its calculated X-ray powder pattern. Radiation: Cu Kα. Structure: a cell relaxed with PBE.

Top 8 peaks for 10° ≤ 2θ ≤ 90°, low angle first:
2θ = 30.71°, I = 100, (3 0 1)
2θ = 35.57°, I = 34, (3 3 0)
2θ = 35.69°, I = 17, (0 0 2)
2θ = 51.25°, I = 36, (6 0 0)
2θ = 60.89°, I = 29, (6 3 1)
2θ = 61.05°, I = 14, (3 0 3)
2θ = 63.96°, I = 12, (6 0 2)
2θ = 83.64°, I = 12, (6 3 3)

Atomic structure:
```
data_TbSm4Er4
_chemical_formula_sum 'Tb2 Sm8 Er8'
_symmetry_space_group_name_H-M 'I 4/m m m'
_symmetry_Int_Tables_number 139
_symmetry_space_group_name_Hall '-I 4 2'
_cell_length_a 10.7080
_cell_length_b 10.7080
_cell_length_c 5.0309
_cell_angle_alpha 90.00
_cell_angle_beta 90.00
_cell_angle_gamma 90.00
loop_
_atom_site_label
_atom_site_fract_x
_atom_site_fract_y
_atom_site_fract_z
Tb1 0.0000 0.0000 0.0000
Sm1 0.0000 0.3314 0.0000
Er1 0.1661 0.1661 0.5000
```